# 1
Structure and simulated X-ray diffraction stick pattern of Pr7Br3O18 (the PBE geometry in the Materials Project; Cu Ka).

Lattice parameters (Å, degrees): 15.912 15.912 4.379 90.00 90.00 120.00
Element x y z (fractional)
Pr (0.107, 0.847, 0.250)
Pr (0.113, 0.653, 0.750)
Pr (0.153, 0.260, 0.250)
Pr (0.260, 0.107, 0.750)
Pr (0.333, 0.667, 0.250)
Pr (0.347, 0.459, 0.750)
Pr (0.459, 0.113, 0.250)
Pr (0.541, 0.887, 0.750)
Pr (0.653, 0.541, 0.250)
Pr (0.667, 0.333, 0.750)
Pr (0.740, 0.893, 0.250)
Pr (0.847, 0.740, 0.750)
Pr (0.887, 0.347, 0.250)
Pr (0.893, 0.153, 0.750)
Br (0.062, 0.444, 0.750)
Br (0.382, 0.938, 0.750)
Br (0.444, 0.382, 0.250)
Br (0.556, 0.618, 0.750)
Br (0.618, 0.062, 0.250)
Br (0.938, 0.556, 0.250)
O (0.026, 0.841, 0.750)
O (0.027, 0.749, 0.750)
O (0.078, 0.265, 0.750)
O (0.159, 0.185, 0.750)
O (0.165, 0.639, 0.250)
O (0.176, 0.739, 0.250)
O (0.185, 0.026, 0.250)
O (0.187, 0.922, 0.750)
O (0.251, 0.277, 0.750)
O (0.261, 0.438, 0.250)
O (0.265, 0.187, 0.250)
O (0.277, 0.027, 0.250)
O (0.280, 0.572, 0.750)
O (0.292, 0.720, 0.750)
O (0.361, 0.525, 0.250)
O (0.428, 0.708, 0.750)
O (0.438, 0.176, 0.750)
O (0.475, 0.835, 0.250)
O (0.525, 0.165, 0.750)
O (0.562, 0.824, 0.250)
O (0.572, 0.292, 0.250)
O (0.639, 0.475, 0.750)
O (0.708, 0.280, 0.250)
O (0.720, 0.428, 0.250)
O (0.723, 0.973, 0.750)
O (0.735, 0.813, 0.750)
O (0.739, 0.562, 0.750)
O (0.749, 0.723, 0.250)
O (0.813, 0.078, 0.250)
O (0.815, 0.974, 0.750)
O (0.824, 0.261, 0.750)
O (0.835, 0.361, 0.750)
O (0.841, 0.815, 0.250)
O (0.922, 0.735, 0.250)
O (0.973, 0.251, 0.250)
O (0.974, 0.159, 0.250)

Principal peaks in the range 2θ = 10–90°, by intensity:
h k l  Position (°2θ)  intensity
1 2 1  26.60  100
1 2 0  17.02  48
4 1 0  29.71  35
3 2 0  28.22  30
5 2 1  46.07  24
0 0 2  41.23  24
2 4 1  40.29  22
4 0 1  33.09  16
3 3 1  39.75  16
4 1 2  51.64  15

***

# 2
Structure and simulated X-ray diffraction stick pattern of PrBr3O6 (the PBE geometry in the Materials Project; Cu Ka).

Lattice parameters (Å, degrees): 6.451 7.537 10.526 90.00 106.69 90.00
Element x y z (fractional)
Pr (0.000, 0.136, 0.250)
Pr (0.000, 0.864, 0.750)
Br (0.151, 0.218, 0.969)
Br (0.151, 0.782, 0.469)
Br (0.500, 0.151, 0.750)
Br (0.500, 0.849, 0.250)
Br (0.849, 0.218, 0.531)
Br (0.849, 0.782, 0.031)
O (0.005, 0.311, 0.079)
O (0.005, 0.689, 0.579)
O (0.337, 0.016, 0.817)
O (0.337, 0.984, 0.317)
O (0.444, 0.406, 0.289)
O (0.444, 0.594, 0.789)
O (0.556, 0.406, 0.211)
O (0.556, 0.594, 0.711)
O (0.663, 0.016, 0.683)
O (0.663, 0.984, 0.183)
O (0.995, 0.311, 0.421)
O (0.995, 0.689, 0.921)

Principal peaks in the range 2θ = 10–90°, by intensity:
h k l  Position (°2θ)  intensity
1 1 1  22.29  100
0 1 0  11.74  73
1 1 -3  28.89  70
0 0 4  35.63  58
1 2 1  30.40  46
1 2 -1  27.78  35
1 0 0  14.33  32
2 0 -2  29.25  26
2 1 1  34.82  21
0 1 2  21.20  18

***

# 3
Structure and simulated X-ray diffraction stick pattern of PrBr3O6 (the PBE geometry in the Materials Project; Cu Ka).

Lattice parameters (Å, degrees): 6.188 6.415 11.380 90.00 108.04 90.00
Element x y z (fractional)
Pr (0.000, 0.184, 0.250)
Pr (0.000, 0.816, 0.750)
Br (0.181, 0.303, 0.948)
Br (0.181, 0.697, 0.448)
Br (0.500, 0.422, 0.750)
Br (0.500, 0.578, 0.250)
Br (0.819, 0.303, 0.552)
Br (0.819, 0.697, 0.052)
O (0.035, 0.228, 0.050)
O (0.035, 0.772, 0.550)
O (0.233, 0.087, 0.864)
O (0.233, 0.913, 0.364)
O (0.323, 0.417, 0.305)
O (0.323, 0.583, 0.805)
O (0.677, 0.417, 0.195)
O (0.677, 0.583, 0.695)
O (0.767, 0.087, 0.636)
O (0.767, 0.913, 0.136)
O (0.965, 0.228, 0.450)
O (0.965, 0.772, 0.950)

Principal peaks in the range 2θ = 10–90°, by intensity:
h k l  Position (°2θ)  intensity
1 1 1  23.79  100
1 1 -3  28.36  87
1 0 0  15.06  38
2 0 -2  29.74  33
1 2 0  31.78  30
1 1 0  20.48  27
2 1 1  36.83  26
1 1 -2  23.18  23
1 2 4  50.09  21
1 1 2  29.19  20

***

# 4
Structure and simulated X-ray diffraction stick pattern of Pr2Br2O (the PBE geometry in the Materials Project; Cu Ka).

Lattice parameters (Å, degrees): 4.310 4.310 13.707 90.00 90.00 90.00
Element x y z (fractional)
Pr (0.000, 0.000, 0.158)
Pr (0.000, 0.000, 0.842)
Br (0.000, 0.000, 0.358)
Br (0.000, 0.000, 0.642)
O (0.000, 0.000, 0.000)

Principal peaks in the range 2θ = 10–90°, by intensity:
h k l  Position (°2θ)  intensity
1 0 0  20.61  100
1 1 0  29.31  41
1 0 4  33.41  28
2 1 0  47.15  22
1 1 4  39.57  18
1 0 6  44.91  17
2 0 0  41.92  15
2 1 4  54.63  14
0 0 4  26.00  13
1 1 6  49.89  13